1.
The following is a simulated powder diffractogram of Pr3TmMg3. It was derived from a PBE-relaxed structure, using CuKα.

Structure:
```
data_Pr3TmMg3
_chemical_formula_sum 'Pr12 Tm4 Mg12'
_space_group_name_H-M_alt 'C 1 2/m 1'
_space_group_IT_number 12
_space_group_name_Hall '-C 2y'
_cell_length_a 7.456
_cell_length_b 10.831
_cell_length_c 10.756
_cell_angle_alpha 90.00
_cell_angle_beta 90.02
_cell_angle_gamma 90.00
loop_
_atom_site_label
_atom_site_type_symbol
_atom_site_fract_x
_atom_site_fract_y
_atom_site_fract_z
_atom_site_occupancy
Pr1 Pr 0.000 0.174 0.000 1
Pr2 Pr 0.000 0.223 0.500 1
Pr3 Pr 0.001 0.500 0.823 1
Tm1 Tm 0.214 0.500 0.500 1
Mg1 Mg 0.000 0.000 0.263 1
Mg2 Mg 0.250 0.250 0.253 1
```

Most intense lines, 2θ from 5° to 70°, by angle:
| 2θ (°) | I (rel.) | h k l |
| --- | --- | --- |
| 8.22 | 26 | 0 0 1 |
| 16.48 | 41 | 0 0 2 |
| 27.45 | 39 | 1 3 0 |
| 28.83 | 27 | 1 1 3 |
| 30.27 | 32 | 2 2 1 |
| 33.08 | 19 | 0 4 0 |
| 33.32 | 22 | 0 0 4 |
| 33.61 | 100 | 2 2 -2 |
| 41.80 | 20 | 0 4 3 |
| 44.80 | 17 | 2 2 4 |

2.
The following is a simulated powder diffractogram of RhSe2I. It was derived from a PBE-relaxed structure, using CuKα.

Structure:
```
data_RhSe2I
_chemical_formula_sum 'Rh2 Se4 I2'
_space_group_name_H-M_alt 'P 1'
_space_group_IT_number 1
_space_group_name_Hall 'P 1'
_cell_length_a 3.823
_cell_length_b 6.941
_cell_length_c 9.021
_cell_angle_alpha 86.44
_cell_angle_beta 89.20
_cell_angle_gamma 75.01
loop_
_atom_site_label
_atom_site_type_symbol
_atom_site_fract_x
_atom_site_fract_y
_atom_site_fract_z
_atom_site_occupancy
Rh1 Rh 0.000 0.000 0.000 1
Rh2 Rh 0.370 0.227 0.298 1
Se1 Se 0.151 0.308 0.549 1
Se2 Se 0.392 0.236 0.024 1
Se3 Se 0.752 0.468 0.343 1
Se4 Se 0.985 0.986 0.272 1
I1 I 0.638 0.706 0.991 1
I2 I 0.943 0.007 0.699 1
```

Most intense lines, 2θ from 5° to 70°, by angle:
| 2θ (°) | I (rel.) | h k l |
| --- | --- | --- |
| 9.82 | 74 | 0 0 1 |
| 13.23 | 100 | 0 1 0 |
| 16.02 | 58 | 0 1 1 |
| 16.98 | 40 | 0 1 -1 |
| 29.77 | 74 | 0 0 3 |
| 30.52 | 69 | 1 -1 0 |
| 31.08 | 83 | 1 2 0 |
| 31.88 | 40 | -1 1 1 |
| 41.54 | 36 | 1 3 0 |
| 50.20 | 38 | 1 2 4 |

3.
The following is a simulated powder diffractogram of Nd3BiSeN. It was derived from a PBE-relaxed structure, using CuKα.

Structure:
```
data_Nd3BiSeN
_chemical_formula_sum 'Nd6 Bi2 Se2 N2'
_space_group_name_H-M_alt 'P 1 21/m 1'
_space_group_IT_number 11
_space_group_name_Hall '-P 2yb'
_cell_length_a 9.021
_cell_length_b 4.280
_cell_length_c 9.520
_cell_angle_alpha 90.00
_cell_angle_beta 100.62
_cell_angle_gamma 90.00
loop_
_atom_site_label
_atom_site_type_symbol
_atom_site_fract_x
_atom_site_fract_y
_atom_site_fract_z
_atom_site_occupancy
Nd1 Nd 0.085 0.250 0.348 1
Nd2 Nd 0.343 0.250 0.986 1
Nd3 Nd 0.393 0.750 0.661 1
Bi1 Bi 0.324 0.750 0.285 1
Se1 Se 0.151 0.250 0.661 1
N1 N 0.409 0.750 0.900 1
```

Most intense lines, 2θ from 5° to 70°, by angle:
| 2θ (°) | I (rel.) | h k l |
| --- | --- | --- |
| 9.98 | 28 | 1 0 0 |
| 14.98 | 28 | 1 0 1 |
| 28.61 | 72 | 0 0 3 |
| 28.81 | 24 | 1 1 -2 |
| 29.00 | 46 | 2 1 0 |
| 29.35 | 100 | 2 1 -1 |
| 36.94 | 53 | 2 1 2 |
| 42.23 | 30 | 0 2 0 |
| 45.59 | 21 | 2 1 -4 |
| 51.80 | 28 | 0 2 3 |